Diffraction record for Dy4TeSeS2. The powder diffraction line list is calculated, not measured: it uses a crystal structure in Alexandria, relaxed with GGA-PBE and a wavelength of 1.5418 Å.
No peak broadening, texture or thermal motion is included.

Main lines, in order of falling intensity (2θ = 15–90°):
d (Å)  I_rel
2.877  100
2.024  25
2.046  20
3.295  16
2.009  13
1.648  13
1.281  10
2.058  10
2.639  10
3.324  8
2.249  7
1.438  6

Atomic structure:
```
data_Dy4TeSeS2
_chemical_formula_sum 'Dy4 Te1 Se1 S2'
_cell_length_a 7.0277
_cell_length_b 4.0179
_cell_length_c 7.1316
_cell_angle_alpha 90.00
_cell_angle_beta 108.90
_cell_angle_gamma 90.00
_symmetry_space_group_name_H-M 'P 1 2/m 1'
_symmetry_Int_Tables_number 10
loop_
_symmetry_equiv_pos_as_xyz
'x,y,z'
'-x,-y,-z'
'-x,y,-z'
'x,-y,z'
loop_
_atom_site_label
_atom_site_type_symbol
_atom_site_fract_x
_atom_site_fract_y
_atom_site_fract_z
Dy1 Dy 0.2261 0.0000 0.2088
Dy2 Dy 0.2500 0.5000 0.7836
Te1 Te 0.5000 0.5000 0.5000
Se1 Se 0.0000 0.0000 0.5000
S1 S 0.0000 0.5000 0.0000
S2 S 0.5000 0.0000 0.0000
```